This entry pairs a crystal structure of Li2MnSi2O6 with its theoretical PXRD pattern. Radiation: λ = 1.5418 Å (Cu Kα). Structure: a cell relaxed with PBE+U.
Neutral-atom scattering factors, no anomalous dispersion.

Most intense lines, 2θ = 5–70°, in order of rising 2θ:
| d_spacing | I (rel.) |
| --- | --- |
| 5.073 | 30 |
| 4.647 | 53 |
| 4.451 | 76 |
| 3.427 | 100 |
| 3.390 | 30 |
| 2.883 | 18 |
| 2.754 | 63 |
| 2.447 | 18 |
| 2.226 | 42 |
| 2.111 | 22 |

Crystal structure
```
Li2MnSi2O6
1.0
2.9524 -4.9555 0.0000
2.9524 4.9555 0.0000
-0.0106 0.0000 9.2935
Li Mn Si O
4 2 4 12
Direct
0.0574 0.7098 0.2355 Li
0.0890 0.9110 0.5000 Li
0.7098 0.0574 0.7355 Li
0.9110 0.0890 0.0000 Li
0.1761 0.6840 0.8590 Mn
0.6840 0.1761 0.3590 Mn
0.2536 0.3124 0.2375 Si
0.3124 0.2536 0.7375 Si
0.5777 0.6390 0.4695 Si
0.6390 0.5777 0.9695 Si
0.0809 0.2861 0.8217 O
0.2334 0.9521 0.6952 O
0.2861 0.0809 0.3217 O
0.3690 0.5925 0.3335 O
0.3863 0.4362 0.5927 O
0.4362 0.3863 0.0927 O
0.5702 0.8072 0.9141 O
0.5925 0.3690 0.8335 O
0.7188 0.9455 0.5227 O
0.8072 0.5702 0.4141 O
0.9455 0.7188 0.0227 O
0.9521 0.2334 0.1952 O
```

This entry pairs a crystal structure of Sr5Mn5O13 with its theoretical PXRD pattern. Radiation: λ = 1.5418 Å (Cu Kα). Structure: a cell relaxed with PBE+U.
Neutral-atom scattering factors, no anomalous dispersion.

Most intense lines, 2θ = 5–70°, in order of rising 2θ:
| d_spacing | I (rel.) |
| --- | --- |
| 2.777 | 54 |
| 2.756 | 100 |
| 2.435 | 3 |
| 2.256 | 17 |
| 1.963 | 34 |
| 1.935 | 18 |
| 1.599 | 38 |
| 1.587 | 19 |
| 1.388 | 8 |
| 1.378 | 19 |

Crystal structure
```
Sr5Mn5O13
1.0
8.7806 0.0000 0.0000
0.0000 8.7806 0.0000
0.0000 0.0000 3.8697
Sr Mn O
5 5 13
Direct
0.0000 0.0000 0.0000 Sr
0.2180 0.6121 0.0000 Sr
0.3879 0.2180 0.0000 Sr
0.6121 0.7820 0.0000 Sr
0.7820 0.3879 0.0000 Sr
0.1003 0.3017 0.5000 Mn
0.3017 0.8997 0.5000 Mn
0.5000 0.5000 0.5000 Mn
0.6983 0.1003 0.5000 Mn
0.8997 0.6983 0.5000 Mn
0.0844 0.3371 0.0000 O
0.0984 0.7876 0.5000 O
0.2124 0.0984 0.5000 O
0.2879 0.4271 0.5000 O
0.3371 0.9156 0.0000 O
0.4271 0.7121 0.5000 O
0.5000 0.5000 0.0000 O
0.5729 0.2879 0.5000 O
0.6629 0.0844 0.0000 O
0.7121 0.5729 0.5000 O
0.7876 0.9016 0.5000 O
0.9016 0.2124 0.5000 O
0.9156 0.6629 0.0000 O
```

This entry pairs a crystal structure of CaFeP2O7 with its theoretical PXRD pattern. Radiation: λ = 1.5418 Å (Cu Kα). Structure: a cell relaxed with PBE+U.
Neutral-atom scattering factors, no anomalous dispersion.

Most intense lines, 2θ = 5–70°, in order of rising 2θ:
| d_spacing | I (rel.) |
| --- | --- |
| 5.534 | 20 |
| 4.502 | 18 |
| 3.241 | 40 |
| 3.107 | 100 |
| 3.083 | 83 |
| 2.918 | 74 |
| 2.899 | 80 |
| 2.164 | 20 |
| 2.096 | 19 |
| 1.832 | 15 |

Crystal structure
```
CaFeP2O7
1.0
6.5760 0.0000 0.0000
0.9292 6.5815 0.0000
2.6894 0.0489 6.2175
Ca Fe P O
2 2 4 14
Direct
0.2267 0.1425 0.3294 Ca
0.7733 0.8575 0.6706 Ca
0.3976 0.3516 0.7282 Fe
0.6024 0.6484 0.2718 Fe
0.1411 0.6289 0.1708 P
0.2729 0.8537 0.7514 P
0.7271 0.1463 0.2485 P
0.8589 0.3711 0.8292 P
0.1004 0.3664 0.6611 O
0.1094 0.7725 0.9788 O
0.1178 0.9310 0.6394 O
0.2415 0.4153 0.0769 O
0.2936 0.7283 0.2453 O
0.3981 0.0181 0.7861 O
0.4498 0.6722 0.6368 O
0.5502 0.3278 0.3632 O
0.6019 0.9819 0.2139 O
0.7064 0.2717 0.7547 O
0.7585 0.5847 0.9231 O
0.8822 0.0690 0.3606 O
0.8906 0.2275 0.0212 O
0.8996 0.6336 0.3389 O
```

This entry pairs a crystal structure of Mn8Cl3O10 with its theoretical PXRD pattern. Radiation: λ = 1.5418 Å (Cu Kα). Structure: a cell relaxed with PBE+U.
Neutral-atom scattering factors, no anomalous dispersion.

Most intense lines, 2θ = 5–70°, in order of rising 2θ:
| d_spacing | I (rel.) |
| --- | --- |
| 7.712 | 43 |
| 4.054 | 28 |
| 3.976 | 13 |
| 3.370 | 32 |
| 3.281 | 15 |
| 2.571 | 100 |
| 2.246 | 13 |
| 1.588 | 28 |
| 1.567 | 41 |
| 1.351 | 18 |

Crystal structure
```
Mn8Cl3O10
1.0
-4.7653 4.7653 6.5629
4.7653 -4.7653 6.5629
4.7653 4.7653 -6.5629
Mn Cl O
16 6 20
Direct
0.0000 0.0000 0.0000 Mn
0.0000 0.3504 0.3504 Mn
0.0000 0.6496 0.6496 Mn
0.0012 0.0012 0.6494 Mn
0.0012 0.3517 0.0000 Mn
0.2500 0.7500 0.5000 Mn
0.3504 0.0000 0.3504 Mn
0.3517 0.0012 0.0000 Mn
0.3517 0.3517 0.3506 Mn
0.5000 0.5000 0.0000 Mn
0.6483 0.6483 0.6494 Mn
0.6483 0.9988 0.0000 Mn
0.6496 0.0000 0.6496 Mn
0.7500 0.2500 0.5000 Mn
0.9988 0.6483 0.0000 Mn
0.9988 0.9988 0.3506 Mn
0.3032 0.3032 0.6064 Cl
0.3032 0.6968 0.0000 Cl
0.3036 0.3036 0.0000 Cl
0.6964 0.6964 0.0000 Cl
0.6968 0.3032 0.0000 Cl
0.6968 0.6968 0.3936 Cl
0.0948 0.5948 0.1895 O
0.0948 0.9052 0.5000 O
0.0981 0.5981 0.5000 O
0.0998 0.2995 0.1998 O
0.1000 0.9002 0.1998 O
0.0998 0.9000 0.8002 O
0.2995 0.0998 0.1998 O
0.4019 0.9019 0.5000 O
0.4052 0.5948 0.5000 O
0.4052 0.9052 0.8105 O
0.5948 0.0948 0.1895 O
0.5948 0.4052 0.5000 O
0.5981 0.0981 0.5000 O
0.7005 0.9002 0.8002 O
0.9002 0.1000 0.1998 O
0.9000 0.0998 0.8002 O
0.9002 0.7005 0.8002 O
0.9019 0.4019 0.5000 O
0.9052 0.0948 0.5000 O
0.9052 0.4052 0.8105 O
```

This entry pairs a crystal structure of KCo2O4 with its theoretical PXRD pattern. Radiation: λ = 1.5418 Å (Cu Kα). Structure: a cell relaxed with PBE+U.
Neutral-atom scattering factors, no anomalous dispersion.

Most intense lines, 2θ = 5–70°, in order of rising 2θ:
| d_spacing | I (rel.) |
| --- | --- |
| 6.295 | 100 |
| 3.148 | 24 |
| 2.469 | 19 |
| 2.299 | 20 |
| 2.297 | 8 |
| 2.129 | 9 |
| 1.943 | 36 |
| 1.599 | 18 |
| 1.426 | 13 |
| 1.390 | 8 |

Crystal structure
```
KCo2O4
1.0
4.9352 0.0000 0.0000
0.0029 5.7065 0.0000
0.0087 0.0003 12.5907
K Co O
4 8 16
Direct
0.0000 0.0000 0.0000 K
0.0735 0.5004 0.5000 K
0.4006 0.5012 0.9987 K
0.6729 0.9991 0.4988 K
0.0365 0.5002 0.7504 Co
0.0363 0.5013 0.2471 Co
0.0370 0.0002 0.2504 Co
0.0372 0.9990 0.7471 Co
0.5368 0.2486 0.2491 Co
0.5367 0.2517 0.7491 Co
0.5368 0.7504 0.2490 Co
0.5367 0.7500 0.7490 Co
0.2002 0.7490 0.1709 O
0.1999 0.7538 0.8271 O
0.2043 0.2472 0.8272 O
0.2049 0.2505 0.1708 O
0.3667 0.0020 0.6716 O
0.3673 0.4981 0.3246 O
0.3715 0.0029 0.3263 O
0.3732 0.4972 0.6733 O
0.7004 0.0031 0.1732 O
0.7018 0.4973 0.8262 O
0.7061 0.0023 0.8246 O
0.7071 0.4985 0.1716 O
0.8690 0.2497 0.6708 O
0.8688 0.2531 0.3272 O
0.8735 0.7466 0.3270 O
0.8734 0.7514 0.6709 O
```